# FeMo6C8N2O20
Theoretical powder XRD pattern, CuKα. Input: DFT lattice parameters and positions (GGA+U).
Kinematic intensities with the Lorentz-polarization factor, no thermal factor.

Principal peaks in the range 15 to 90 degrees two-theta, sorted by position:
19.08 deg, I = 67
22.90 deg, I = 80
26.36 deg, I = 100
28.04 deg, I = 43
29.87 deg, I = 63
32.38 deg, I = 45

Lattice parameters (Å, degrees): 10.989 10.989 8.303 102.32 102.32 40.89
Element x y z (fractional)
Fe (0.000, 0.000, 0.000)
Mo (0.090, 0.090, 0.418)
Mo (0.195, 0.674, 0.296)
Mo (0.326, 0.805, 0.704)
Mo (0.674, 0.195, 0.296)
Mo (0.805, 0.326, 0.704)
Mo (0.910, 0.910, 0.582)
C (0.193, 0.468, 0.755)
C (0.315, 0.315, 0.626)
C (0.377, 0.377, 0.841)
C (0.468, 0.193, 0.755)
C (0.532, 0.807, 0.245)
C (0.623, 0.623, 0.159)
C (0.685, 0.685, 0.374)
C (0.807, 0.532, 0.245)
N (0.289, 0.289, 0.815)
N (0.711, 0.711, 0.185)
O (0.057, 0.057, 0.641)
O (0.077, 0.077, 0.196)
O (0.132, 0.568, 0.228)
O (0.152, 0.768, 0.112)
O (0.175, 0.175, 0.491)
O (0.175, 0.704, 0.548)
O (0.232, 0.848, 0.888)
O (0.296, 0.825, 0.452)
O (0.432, 0.868, 0.772)
O (0.461, 0.461, 0.312)
O (0.539, 0.539, 0.688)
O (0.568, 0.132, 0.228)
O (0.704, 0.175, 0.548)
O (0.768, 0.152, 0.112)
O (0.825, 0.296, 0.452)
O (0.825, 0.825, 0.509)
O (0.848, 0.232, 0.888)
O (0.868, 0.432, 0.772)
O (0.923, 0.923, 0.804)
O (0.943, 0.943, 0.359)